KMn2Cr2O10: calculated X-ray diffraction stick pattern (Cu Kα (λ = 1.5418 Å)), based on a crystal structure in Alexandria, relaxed with GGA+U.
Kinematic intensities with the Lorentz-polarization factor, no thermal factor.

Crystal structure
```
KMn2Cr2O10
1.0
4.739 -3.034 0.000
4.739 3.034 0.000
-3.194 0.000 7.798
K Mn Cr O
1 2 2 10
direct
0.000 0.000 0.000
0.000 0.500 0.500
0.500 0.000 0.500
0.436 0.436 0.245
0.564 0.564 0.755
0.182 0.182 0.575
0.228 0.676 0.711
0.324 0.772 0.289
0.326 0.326 0.367
0.327 0.327 0.044
0.673 0.673 0.956
0.674 0.674 0.633
0.676 0.228 0.711
0.772 0.324 0.289
0.818 0.818 0.425
```

Principal peaks in the range 2θ = 5–70°, in order of rising 2θ:
2θ/deg  I/Imax
11.35  100
17.78  49
24.12  70
25.79  67
26.84  65
31.97  67
35.33  41
52.71  35